# 1
BeZnPt4: calculated XRD peak list (Cu Ka), based on a cell relaxed with PBE.
Lines closer than 0.1° are merged.

Peak list (6 most intense, 2θ = 10–90°, sorted by position)
- 30.24°, I = 467, (0 0 2)
- 31.91°, I = 870, (1 1 0)
- 44.54°, I = 1000, (1 1 2)
- 45.76°, I = 490, (2 0 0)
- 55.83°, I = 345, (2 0 2)
- 83.79°, I = 330, (3 1 2)

Structure:
```
data_BeZnPt4
_chemical_formula_sum 'Be1 Zn1 Pt4'
_space_group_name_H-M_alt 'P 4/m m m'
_space_group_IT_number 123
_space_group_name_Hall '-P 4 2'
_cell_length_a 3.966
_cell_length_b 3.966
_cell_length_c 5.912
_cell_angle_alpha 90.00
_cell_angle_beta 90.00
_cell_angle_gamma 90.00
loop_
_atom_site_label
_atom_site_type_symbol
_atom_site_fract_x
_atom_site_fract_y
_atom_site_fract_z
Be1 Be 0.000 0.000 0.000
Zn1 Zn 0.500 0.500 0.500
Pt1 Pt 0.000 0.500 0.230
```



# 2
ZnCo2BiN: calculated XRD peak list (Cu Ka), based on a cell relaxed with PBE.
Lines closer than 0.1° are merged.

Peak list (6 most intense, 2θ = 10–90°, sorted by position)
- 29.79°, I = 275, (1 0 1)
- 37.92°, I = 1000, (1 1 1)
- 38.03°, I = 283, (0 0 2)
- 46.86°, I = 308, (2 0 0)
- 61.87°, I = 261, (2 0 2)
- 81.02°, I = 338, (2 2 2)

Structure:
```
data_ZnCo2BiN
_chemical_formula_sum 'Zn1 Co2 Bi1 N1'
_space_group_name_H-M_alt 'P 4/m m m'
_space_group_IT_number 123
_space_group_name_Hall '-P 4 2'
_cell_length_a 3.878
_cell_length_b 3.878
_cell_length_c 4.732
_cell_angle_alpha 90.00
_cell_angle_beta 90.00
_cell_angle_gamma 90.00
loop_
_atom_site_label
_atom_site_type_symbol
_atom_site_fract_x
_atom_site_fract_y
_atom_site_fract_z
Zn1 Zn 0.000 0.000 0.000
Co1 Co 0.000 0.500 0.500
Bi1 Bi 0.500 0.500 0.000
N1 N 0.000 0.000 0.500
```



# 3
Sm5Ho5In2: calculated XRD peak list (Cu Ka), based on a cell relaxed with PBE.
Lines closer than 0.1° are merged.

Peak list (6 most intense, 2θ = 10–90°, sorted by position)
- 28.23°, I = 630, (1 1 3)
- 30.07°, I = 515, (3 1 -1)
- 32.35°, I = 994, (3 1 -2)
- 33.84°, I = 1000, (1 1 4)
- 34.63°, I = 925, (0 2 0)
- 34.93°, I = 460, (4 0 2)

Structure:
```
data_Sm5Ho5In2
_chemical_formula_sum 'Sm10 Ho10 In4'
_space_group_name_H-M_alt 'C 1 2/m 1'
_space_group_IT_number 12
_space_group_name_Hall '-C 2y'
_cell_length_a 11.290
_cell_length_b 5.181
_cell_length_c 12.880
_cell_angle_alpha 90.00
_cell_angle_beta 90.99
_cell_angle_gamma 90.00
loop_
_atom_site_label
_atom_site_type_symbol
_atom_site_fract_x
_atom_site_fract_y
_atom_site_fract_z
Sm1 Sm 0.000 0.000 0.000
Sm2 Sm 0.112 0.000 0.766
Sm3 Sm 0.199 0.500 0.578
Ho1 Ho 0.000 0.000 0.500
Ho2 Ho 0.098 0.500 0.317
Ho3 Ho 0.165 0.500 0.034
In1 In 0.199 0.000 0.187
```



# 4
Ba2InSnSe6: calculated XRD peak list (Cu Ka), based on a cell relaxed with PBE.
Lines closer than 0.1° are merged.

Peak list (6 most intense, 2θ = 10–90°, sorted by position)
- 23.16°, I = 593, (1 1 1)
- 24.39°, I = 648, (1 1 -3)
- 25.02°, I = 663, (0 2 1)
- 33.77°, I = 926, (2 2 -2)
- 34.00°, I = 1000, (0 0 4)
- 34.84°, I = 808, (0 2 3)

Structure:
```
data_Ba2InSnSe6
_chemical_formula_sum 'Ba4 In2 Sn2 Se12'
_space_group_name_H-M_alt 'P 1 21/c 1'
_space_group_IT_number 14
_space_group_name_Hall '-P 2ybc'
_cell_length_a 7.475
_cell_length_b 7.562
_cell_length_c 12.504
_cell_angle_alpha 90.00
_cell_angle_beta 122.48
_cell_angle_gamma 90.00
loop_
_atom_site_label
_atom_site_type_symbol
_atom_site_fract_x
_atom_site_fract_y
_atom_site_fract_z
Ba1 Ba 0.221 0.097 0.242
In1 In 0.000 0.000 0.500
Sn1 Sn 0.500 0.000 0.000
Se1 Se 0.155 0.185 0.952
Se2 Se 0.277 0.686 0.965
Se3 Se 0.325 0.573 0.247
```



# 5
LiUICl4: calculated XRD peak list (Cu Ka), based on a cell relaxed with PBE.
Lines closer than 0.1° are merged.

Peak list (6 most intense, 2θ = 10–90°, sorted by position)
- 10.66°, I = 1000, (0 0 1)
- 12.65°, I = 351, (1 1 0)
- 15.19°, I = 606, (1 1 -1)
- 20.55°, I = 717, (0 2 0)
- 26.69°, I = 246, (1 1 2)
- 28.45°, I = 250, (3 1 -2)

Structure:
```
data_LiUICl4
_chemical_formula_sum 'Li4 U4 I4 Cl16'
_space_group_name_H-M_alt 'C 1 2/m 1'
_space_group_IT_number 12
_space_group_name_Hall '-C 2y'
_cell_length_a 12.376
_cell_length_b 8.648
_cell_length_c 8.630
_cell_angle_alpha 90.00
_cell_angle_beta 105.96
_cell_angle_gamma 90.00
loop_
_atom_site_label
_atom_site_type_symbol
_atom_site_fract_x
_atom_site_fract_y
_atom_site_fract_z
Li1 Li 0.136 0.000 0.302
U1 U 0.220 0.500 0.110
I1 I 0.016 0.500 0.797
Cl1 Cl 0.062 0.000 0.804
Cl2 Cl 0.210 0.191 0.149
Cl3 Cl 0.239 0.000 0.574
```



# 6
Dy2ErThSc: calculated XRD peak list (Cu Ka), based on a cell relaxed with PBE.
Lines closer than 0.1° are merged.

Peak list (6 most intense, 2θ = 10–90°, sorted by position)
- 17.68°, I = 222, (0 1 1)
- 29.04°, I = 421, (2 0 0)
- 30.54°, I = 1000, (1 2 1)
- 32.91°, I = 351, (1 1 2)
- 34.20°, I = 199, (2 1 1)
- 52.42°, I = 233, (3 2 1)

Structure:
```
data_Dy2ErThSc
_chemical_formula_sum 'Dy4 Er2 Th2 Sc2'
_space_group_name_H-M_alt 'P m m a'
_space_group_IT_number 51
_space_group_name_Hall '-P 2a 2a'
_cell_length_a 6.150
_cell_length_b 7.708
_cell_length_c 6.605
_cell_angle_alpha 90.00
_cell_angle_beta 90.00
_cell_angle_gamma 90.00
loop_
_atom_site_label
_atom_site_type_symbol
_atom_site_fract_x
_atom_site_fract_y
_atom_site_fract_z
Dy1 Dy 0.250 0.207 0.221
Er1 Er 0.250 0.000 0.685
Th1 Th 0.250 0.500 0.907
Sc1 Sc 0.000 0.500 0.500
```



# 7
CeSe2: calculated XRD peak list (Cu Ka), based on a cell relaxed with PBE.
Lines closer than 0.1° are merged.

Peak list (6 most intense, 2θ = 10–90°, sorted by position)
- 23.07°, I = 904, (1 1 2)
- 26.09°, I = 467, (0 2 1)
- 33.64°, I = 525, (0 2 4)
- 35.08°, I = 1000, (0 1 6)
- 38.97°, I = 567, (2 0 4)
- 43.53°, I = 659, (1 3 2)

Structure:
```
data_CeSe2
_chemical_formula_sum 'Ce8 Se16'
_space_group_name_H-M_alt 'P m c 21'
_space_group_IT_number 26
_space_group_name_Hall 'P 2c -2'
_cell_length_a 5.583
_cell_length_b 6.983
_cell_length_c 16.484
_cell_angle_alpha 90.00
_cell_angle_beta 90.00
_cell_angle_gamma 90.00
loop_
_atom_site_label
_atom_site_type_symbol
_atom_site_fract_x
_atom_site_fract_y
_atom_site_fract_z
Ce1 Ce 0.000 0.006 0.000
Ce2 Ce 0.000 0.492 0.258
Ce3 Ce 0.500 0.008 0.696
Ce4 Ce 0.500 0.492 0.954
Se1 Se 0.000 0.149 0.664
Se2 Se 0.000 0.375 0.430
Se3 Se 0.247 0.319 0.100
Se4 Se 0.253 0.180 0.854
Se5 Se 0.500 0.126 0.524
Se6 Se 0.500 0.351 0.290
```